(1)
Starting from DFT lattice parameters and positions (PBE), the X-ray diffraction stick pattern of NdGdCd was simulated for Cu Kα.
Kinematic intensities with the Lorentz-polarization factor, no thermal factor.

Structural model:
abc: 5.0912 5.0912 5.0912
angles: 60.00 60.00 60.00
Positions (direct):
Nd: 0.0000 0.0000 0.0000
Gd: 0.7500 0.7500 0.7500
Cd: 0.5000 0.5000 0.5000

Main lines, low angle first (5° ≤ 2θ ≤ 70°):
Position (°2θ)  I_rel
21.4  34
24.7  8
35.3  100
41.6  18
50.7  18
55.6  8
63.3  36
67.6  6

***

(2)
Starting from DFT lattice parameters and positions (PBE), the X-ray diffraction stick pattern of NdGdTl2Cd2 was simulated for Cu Kα.
Kinematic intensities with the Lorentz-polarization factor, no thermal factor.

Structural model:
abc: 4.9289 4.9289 7.6202
angles: 90.00 90.00 120.00
Positions (direct):
Nd: 0.0000 0.0000 0.0000
Gd: 0.0000 0.0000 0.5004
Tl: 0.3333 0.6667 0.7885
Tl: 0.6667 0.3333 0.2955
Cd: 0.3333 0.6667 0.2142
Cd: 0.6667 0.3333 0.7057

Main lines, low angle first (5° ≤ 2θ ≤ 70°):
Position (°2θ)  I_rel
23.9  23
31.5  100
36.5  88
41.4  23
48.9  29
61.5  18
62.5  28
65.6  17

***

(3)
Starting from DFT lattice parameters and positions (PBE), the X-ray diffraction stick pattern of Gd3Cd3PdPt2 was simulated for Cu Kα.
Kinematic intensities with the Lorentz-polarization factor, no thermal factor.

Structural model:
abc: 7.6658 7.6658 3.9030
angles: 90.00 90.00 120.00
Positions (direct):
Gd: 0.0000 0.5913 0.0000
Gd: 0.4087 0.4087 0.0000
Gd: 0.5913 0.0000 0.0000
Cd: 0.0000 0.2550 0.5000
Cd: 0.2550 0.0000 0.5000
Cd: 0.7450 0.7450 0.5000
Pd: 0.0000 0.0000 0.0000
Pt: 0.3333 0.6667 0.5000
Pt: 0.6667 0.3333 0.5000

Main lines, low angle first (5° ≤ 2θ ≤ 70°):
Position (°2θ)  I_rel
32.7  100
35.5  93
35.8  45
40.8  45
42.8  30
46.5  25
63.6  24
65.8  31

***

(4)
Starting from DFT lattice parameters and positions (PBE), the X-ray diffraction stick pattern of PrGdCd6 was simulated for Cu Kα.
Kinematic intensities with the Lorentz-polarization factor, no thermal factor.

Structural model:
abc: 5.1421 7.2774 5.1428
angles: 90.00 90.00 90.00
Positions (direct):
Pr: 0.0000 0.0000 0.0000
Gd: 0.5000 0.5000 0.4924
Cd: 0.0000 0.2544 0.5005
Cd: 0.0000 0.5000 0.9996
Cd: 0.0000 0.7456 0.5005
Cd: 0.5000 0.0000 0.4937
Cd: 0.5000 0.2544 0.9921
Cd: 0.5000 0.7456 0.9921

Main lines, low angle first (5° ≤ 2θ ≤ 70°):
Position (°2θ)  I_rel
21.2  1
24.5  1
34.9  100
41.2  1
50.2  17
62.6  35

***

(5)
Starting from DFT lattice parameters and positions (PBE), the X-ray diffraction stick pattern of Tb3Gd3Cd2 was simulated for Cu Kα.
Kinematic intensities with the Lorentz-polarization factor, no thermal factor.

Structural model:
abc: 6.9496 6.9496 5.4849
angles: 90.00 90.00 120.00
Positions (direct):
Tb: 0.1720 0.3440 0.0000
Tb: 0.1720 0.8280 0.0000
Tb: 0.6560 0.8280 0.0000
Gd: 0.3446 0.1723 0.5000
Gd: 0.8277 0.1723 0.5000
Gd: 0.8277 0.6554 0.5000
Cd: 0.3333 0.6667 0.5000
Cd: 0.6667 0.3333 0.0000

Main lines, low angle first (5° ≤ 2θ ≤ 70°):
Position (°2θ)  I_rel
29.7  24
32.7  25
34.0  100
44.7  16
52.7  19
59.1  20
63.4  21
64.2  15

***

(6)
Starting from DFT lattice parameters and positions (PBE), the X-ray diffraction stick pattern of GdTm2Cd was simulated for Cu Kα.
Kinematic intensities with the Lorentz-polarization factor, no thermal factor.

Structural model:
abc: 5.5546 6.7056 6.7056
angles: 115.65 90.00 90.00
Positions (direct):
Gd: 0.2500 0.1306 0.8694
Gd: 0.7500 0.8694 0.1306
Tm: 0.2500 0.1860 0.3745
Tm: 0.2500 0.6712 0.3490
Tm: 0.7500 0.3490 0.6712
Tm: 0.7500 0.3745 0.1860
Cd: 0.2500 0.6292 0.8549
Cd: 0.7500 0.8549 0.6292

Main lines, low angle first (5° ≤ 2θ ≤ 70°):
Position (°2θ)  I_rel
31.5  22
32.2  32
33.8  100
35.5  13
45.7  16
51.2  9
58.5  21
61.8  9